For Li2InMoO6, a DFT-relaxed cell (GGA+U, Alexandria) gives the theoretical powder X-ray diffraction pattern in this record (Cu Kα (λ = 1.5418 Å)).

Peak list (6 most intense, 10° ≤ 2θ ≤ 90°, low angle first)
(0 1 2), 2θ 23.24, I 1000
(1 0 4), 2θ 31.90, I 422
(1 1 0), 2θ 34.28, I 250
(0 2 4), 2θ 47.52, I 176
(2 -1 6), 2θ 51.91, I 284
(3 -2 2), 2θ 55.15, I 159

Atomic structure:
```
data_Li2InMoO6
_chemical_formula_sum 'Li6 In3 Mo3 O18'
_symmetry_space_group_name_H-M 'R 3'
_symmetry_Int_Tables_number 146
_symmetry_space_group_name_Hall 'R 3'
_cell_length_a 5.2322
_cell_length_b 5.2322
_cell_length_c 14.2926
_cell_angle_alpha 90.00
_cell_angle_beta 90.00
_cell_angle_gamma 120.00
loop_
_atom_site_label
_atom_site_fract_x
_atom_site_fract_y
_atom_site_fract_z
_atom_site_occupancy
Li1 0.0000 0.0000 0.0000 1
Li2 0.0000 0.0000 0.4930 1
In1 0.0000 0.0000 0.7095 1
Mo1 0.0000 0.0000 0.2117 1
O1 0.0090 0.3680 0.9397 1
O2 0.0495 0.6713 0.7800 1
```